Entry 1:
Starting from a cell relaxed with PBE, the powder X-ray diffraction pattern of In3Hg5Pb3 was calculated for Cu Kα, 1.54184 Å.

Structure:
```
data_In3Hg5Pb3
_chemical_formula_sum 'In3 Hg5 Pb3'
_space_group_name_H-M_alt 'P 1'
_space_group_IT_number 1
_space_group_name_Hall 'P 1'
_cell_length_a 10.8344
_cell_length_b 10.8344
_cell_length_c 3.2889
_cell_angle_alpha 90.00
_cell_angle_beta 90.00
_cell_angle_gamma 120.00
loop_
_atom_site_label
_atom_site_fract_x
_atom_site_fract_y
_atom_site_fract_z
In1 0.0000 0.1688 0.0000
In2 0.1688 0.0000 0.0000
In3 0.8312 0.8312 0.0000
Hg1 0.0000 0.6774 0.0000
Hg2 0.3226 0.3226 0.0000
Hg3 0.3333 0.6667 0.0000
Hg4 0.6667 0.3333 0.0000
Hg5 0.6774 0.0000 0.0000
Pb1 0.0000 0.4249 0.5000
Pb2 0.4249 0.0000 0.5000
Pb3 0.5751 0.5751 0.5000
```

Peak list (10 most intense, 5° ≤ 2θ ≤ 70°, in order of rising 2θ)
d [Å]  Position (°2θ)  I (rel.)
3.546  25.11  49
3.128  28.54  91
2.811  31.83  100
2.693  33.27  58
2.602  34.46  92
2.412  37.29  41
2.266  39.77  40
2.091  43.27  56
1.801  50.68  39
1.412  66.17  38

***

Entry 2:
Starting from a cell relaxed with PBE, the powder X-ray diffraction pattern of Na2SrZn was calculated for Cu Kα, 1.54184 Å.

Structure:
```
data_Na2SrZn
_chemical_formula_sum 'Na2 Sr1 Zn1'
_space_group_name_H-M_alt 'P 1'
_space_group_IT_number 1
_space_group_name_Hall 'P 1'
_cell_length_a 5.6691
_cell_length_b 5.6691
_cell_length_c 5.6691
_cell_angle_alpha 60.00
_cell_angle_beta 60.00
_cell_angle_gamma 60.00
loop_
_atom_site_label
_atom_site_fract_x
_atom_site_fract_y
_atom_site_fract_z
Na1 0.0000 0.0000 0.0000
Na2 0.2500 0.2500 0.2500
Sr1 0.5000 0.5000 0.5000
Zn1 0.7500 0.7500 0.7500
```

Peak list (10 most intense, 5° ≤ 2θ ≤ 70°, in order of rising 2θ)
d [Å]  Position (°2θ)  I (rel.)
4.629  19.17  32
4.009  22.18  1
2.835  31.56  100
2.417  37.19  18
2.004  45.24  18
1.839  49.56  8
1.637  56.21  37
1.543  59.95  6
1.417  65.90  11
1.355  69.34  6

***

Entry 3:
Starting from a cell relaxed with PBE, the powder X-ray diffraction pattern of Na5Al2Te5 was calculated for Cu Kα, 1.54184 Å.

Structure:
```
data_Na5Al2Te5
_chemical_formula_sum 'Na5 Al2 Te5'
_space_group_name_H-M_alt 'P 1'
_space_group_IT_number 1
_space_group_name_Hall 'P 1'
_cell_length_a 7.6201
_cell_length_b 7.6201
_cell_length_c 12.3547
_cell_angle_alpha 107.64
_cell_angle_beta 107.64
_cell_angle_gamma 33.49
loop_
_atom_site_label
_atom_site_fract_x
_atom_site_fract_y
_atom_site_fract_z
Na1 0.0000 0.0000 0.0000
Na2 0.1592 0.1592 0.5544
Na3 0.2474 0.2474 0.8635
Na4 0.7526 0.7526 0.1365
Na5 0.8408 0.8408 0.4456
Al1 0.4548 0.4548 0.7034
Al2 0.5452 0.5452 0.2966
Te1 0.1637 0.1637 0.2955
Te2 0.3959 0.3959 0.1119
Te3 0.5000 0.5000 0.5000
Te4 0.6041 0.6041 0.8881
Te5 0.8363 0.8363 0.7045
```

Peak list (10 most intense, 5° ≤ 2θ ≤ 70°, in order of rising 2θ)
d [Å]  Position (°2θ)  I (rel.)
3.984  22.31  83
3.904  22.78  85
3.828  23.24  41
3.256  27.39  100
3.181  28.05  37
3.093  28.87  51
2.343  38.41  38
2.196  41.11  36
2.187  41.28  42
2.128  42.47  36

***

Entry 4:
Starting from a cell relaxed with PBE, the powder X-ray diffraction pattern of Ba2NaInAu was calculated for Cu Kα, 1.54184 Å.

Structure:
```
data_Ba2NaInAu
_chemical_formula_sum 'Ba2 Na1 In1 Au1'
_space_group_name_H-M_alt 'P 1'
_space_group_IT_number 1
_space_group_name_Hall 'P 1'
_cell_length_a 6.4664
_cell_length_b 6.4664
_cell_length_c 5.3055
_cell_angle_alpha 90.00
_cell_angle_beta 90.00
_cell_angle_gamma 90.00
loop_
_atom_site_label
_atom_site_fract_x
_atom_site_fract_y
_atom_site_fract_z
Ba1 0.0000 0.5000 0.0000
Ba2 0.5000 0.0000 0.0000
Na1 0.0000 0.0000 0.5000
In1 0.5000 0.5000 0.5000
Au1 0.5000 0.5000 0.0000
```

Peak list (10 most intense, 5° ≤ 2θ ≤ 70°, in order of rising 2θ)
d [Å]  Position (°2θ)  I (rel.)
6.466  13.69  100
5.306  16.71  39
3.464  25.72  25
3.233  27.59  87
2.892  30.92  30
2.761  32.43  32
2.653  33.79  26
2.286  39.41  33
2.051  44.16  48
1.732  52.87  28

***

Entry 5:
Starting from a cell relaxed with PBE, the powder X-ray diffraction pattern of LaCd11Ni was calculated for Cu Kα, 1.54184 Å.

Structure:
```
data_LaCd11Ni
_chemical_formula_sum 'La1 Cd11 Ni1'
_space_group_name_H-M_alt 'P 1'
_space_group_IT_number 1
_space_group_name_Hall 'P 1'
_cell_length_a 7.7195
_cell_length_b 7.7195
_cell_length_c 7.5982
_cell_angle_alpha 97.17
_cell_angle_beta 97.17
_cell_angle_gamma 137.37
loop_
_atom_site_label
_atom_site_fract_x
_atom_site_fract_y
_atom_site_fract_z
La1 0.0000 0.0000 0.0000
Cd1 0.0000 0.0000 0.5000
Cd2 0.0000 0.5000 0.0000
Cd3 0.0209 0.3601 0.3622
Cd4 0.3031 0.5086 0.7798
Cd5 0.3601 0.0209 0.3622
Cd6 0.4914 0.6969 0.2202
Cd7 0.5000 0.0000 0.0000
Cd8 0.5086 0.3031 0.7798
Cd9 0.6399 0.9791 0.6378
Cd10 0.6969 0.4914 0.2202
Cd11 0.9791 0.6399 0.6378
Ni1 0.5000 0.5000 0.5000
```

Peak list (10 most intense, 5° ≤ 2θ ≤ 70°, in order of rising 2θ)
d [Å]  Position (°2θ)  I (rel.)
2.919  30.63  22
2.869  31.18  29
2.533  35.44  100
2.525  35.55  31
2.514  35.71  20
2.476  36.28  63
2.434  36.93  29
2.271  39.69  27
2.212  40.80  34
1.459  63.78  24

***

Entry 6:
Starting from a cell relaxed with PBE, the powder X-ray diffraction pattern of Pr2GaPd3 was calculated for Cu Kα, 1.54184 Å.

Structure:
```
data_Pr2GaPd3
_chemical_formula_sum 'Pr2 Ga1 Pd3'
_space_group_name_H-M_alt 'P 1'
_space_group_IT_number 1
_space_group_name_Hall 'P 1'
_cell_length_a 3.8031
_cell_length_b 4.4312
_cell_length_c 7.9594
_cell_angle_alpha 90.00
_cell_angle_beta 90.00
_cell_angle_gamma 90.00
loop_
_atom_site_label
_atom_site_fract_x
_atom_site_fract_y
_atom_site_fract_z
Pr1 0.0000 0.0000 0.0000
Pr2 0.0000 0.5000 0.4733
Ga1 0.5000 0.5000 0.8102
Pd1 0.5000 0.0000 0.3252
Pd2 0.5000 0.0000 0.6645
Pd3 0.5000 0.5000 0.1276
```

Peak list (10 most intense, 5° ≤ 2θ ≤ 70°, in order of rising 2θ)
d [Å]  Position (°2θ)  I (rel.)
2.750  32.57  46
2.713  33.02  100
2.276  39.59  55
2.216  40.72  27
1.902  47.83  17
1.763  51.86  13
1.725  53.09  23
1.459  63.78  26
1.443  64.59  14
1.357  69.25  12

***

Entry 7:
Starting from a cell relaxed with PBE, the powder X-ray diffraction pattern of Nd2NpAs3 was calculated for Cu Kα, 1.54184 Å.

Structure:
```
data_Nd2NpAs3
_chemical_formula_sum 'Nd2 Np1 As3'
_space_group_name_H-M_alt 'P 1'
_space_group_IT_number 1
_space_group_name_Hall 'P 1'
_cell_length_a 9.4136
_cell_length_b 9.4136
_cell_length_c 9.4136
_cell_angle_alpha 154.09
_cell_angle_beta 154.09
_cell_angle_gamma 36.96
loop_
_atom_site_label
_atom_site_fract_x
_atom_site_fract_y
_atom_site_fract_z
Nd1 0.1675 0.1675 0.0000
Nd2 0.8325 0.8325 0.0000
Np1 0.5000 0.5000 0.0000
As1 0.0000 0.0000 0.0000
As2 0.3371 0.3371 0.0000
As3 0.6629 0.6629 0.0000
```

Peak list (10 most intense, 5° ≤ 2θ ≤ 70°, in order of rising 2θ)
d [Å]  Position (°2θ)  I (rel.)
8.928  9.91  5
3.443  25.88  28
2.981  29.97  100
2.108  42.90  75
1.799  50.75  9
1.796  50.85  5
1.721  53.21  27
1.492  62.22  8
1.488  62.41  4
1.368  68.61  6

***

Entry 8:
Starting from a cell relaxed with PBE, the powder X-ray diffraction pattern of Ti6ZnPd8 was calculated for Cu Kα, 1.54184 Å.

Structure:
```
data_Ti6ZnPd8
_chemical_formula_sum 'Ti6 Zn1 Pd8'
_space_group_name_H-M_alt 'P 1'
_space_group_IT_number 1
_space_group_name_Hall 'P 1'
_cell_length_a 7.6133
_cell_length_b 7.6133
_cell_length_c 4.8712
_cell_angle_alpha 90.00
_cell_angle_beta 90.00
_cell_angle_gamma 120.00
loop_
_atom_site_label
_atom_site_fract_x
_atom_site_fract_y
_atom_site_fract_z
Ti1 0.0887 0.6456 0.2890
Ti2 0.3544 0.4431 0.2890
Ti3 0.4431 0.0887 0.7110
Ti4 0.5569 0.9113 0.2890
Ti5 0.6456 0.5569 0.7110
Ti6 0.9113 0.3544 0.7110
Zn1 0.0000 0.0000 0.5000
Pd1 0.0312 0.7518 0.8058
Pd2 0.2482 0.2794 0.8058
Pd3 0.2794 0.0312 0.1942
Pd4 0.3333 0.6667 0.7300
Pd5 0.6667 0.3333 0.2700
Pd6 0.7206 0.9688 0.8058
Pd7 0.7518 0.7206 0.1942
Pd8 0.9688 0.2482 0.1942
```

Peak list (10 most intense, 5° ≤ 2θ ≤ 70°, in order of rising 2θ)
d [Å]  Position (°2θ)  I (rel.)
3.918  22.70  13
2.999  29.79  33
2.492  36.04  19
2.436  36.91  25
2.219  40.67  100
2.198  41.07  26
2.052  44.14  17
1.742  52.54  21
1.445  64.51  13
1.439  64.80  11

***

Entry 9:
Starting from a cell relaxed with PBE, the powder X-ray diffraction pattern of PmDy4Y5 was calculated for Cu Kα, 1.54184 Å.

Structure:
```
data_PmDy4Y5
_chemical_formula_sum 'Pm1 Dy4 Y5'
_space_group_name_H-M_alt 'P 1'
_space_group_IT_number 1
_space_group_name_Hall 'P 1'
_cell_length_a 6.2992
_cell_length_b 6.7449
_cell_length_c 9.2389
_cell_angle_alpha 72.24
_cell_angle_beta 89.96
_cell_angle_gamma 62.16
loop_
_atom_site_label
_atom_site_fract_x
_atom_site_fract_y
_atom_site_fract_z
Pm1 0.0000 0.0000 0.0000
Dy1 0.0609 0.1985 0.3026
Dy2 0.3987 0.1975 0.7992
Dy3 0.6622 0.9984 0.5012
Dy4 0.7974 0.3969 0.6012
Y1 0.1951 0.5970 0.4014
Y2 0.2663 0.7975 0.6988
Y3 0.4660 0.3959 0.1011
Y4 0.5958 0.7978 0.2032
Y5 0.8667 0.5996 0.9004
```

Peak list (10 most intense, 5° ≤ 2θ ≤ 70°, in order of rising 2θ)
d [Å]  Position (°2θ)  I (rel.)
5.599  15.83  3
3.152  28.31  24
2.840  31.50  24
2.756  32.48  100
2.110  42.86  16
1.820  50.12  20
1.623  56.72  20
1.532  60.41  22
1.519  60.98  11
1.518  61.06  5

***

Entry 10:
Starting from a cell relaxed with PBE, the powder X-ray diffraction pattern of TlTe was calculated for Cu Kα, 1.54184 Å.

Structure:
```
data_TlTe
_chemical_formula_sum 'Tl4 Te4'
_space_group_name_H-M_alt 'P 1'
_space_group_IT_number 1
_space_group_name_Hall 'P 1'
_cell_length_a 7.1439
_cell_length_b 7.1439
_cell_length_c 7.1439
_cell_angle_alpha 105.57
_cell_angle_beta 105.57
_cell_angle_gamma 117.59
loop_
_atom_site_label
_atom_site_fract_x
_atom_site_fract_y
_atom_site_fract_z
Tl1 0.2500 0.2500 0.0000
Tl2 0.2500 0.7500 0.5000
Tl3 0.7500 0.2500 0.5000
Tl4 0.7500 0.7500 0.0000
Te1 0.1875 0.6875 0.8750
Te2 0.3125 0.1875 0.5000
Te3 0.6875 0.8125 0.5000
Te4 0.8125 0.3125 0.1250
```

Peak list (10 most intense, 5° ≤ 2θ ≤ 70°, in order of rising 2θ)
d [Å]  Position (°2θ)  I (rel.)
4.321  20.56  22
3.426  26.01  27
3.055  29.23  52
2.811  31.84  100
2.356  38.20  14
2.017  44.95  12
1.932  47.03  17
1.866  48.81  15
1.713  53.50  23
1.583  58.29  15

***

Entry 11:
Starting from a cell relaxed with PBE, the powder X-ray diffraction pattern of KTlBr2F8 was calculated for Cu Kα, 1.54184 Å.

Structure:
```
data_KTlBr2F8
_chemical_formula_sum 'K1 Tl1 Br2 F8'
_space_group_name_H-M_alt 'P 1'
_space_group_IT_number 1
_space_group_name_Hall 'P 1'
_cell_length_a 5.0839
_cell_length_b 5.0839
_cell_length_c 10.8839
_cell_angle_alpha 90.00
_cell_angle_beta 90.00
_cell_angle_gamma 120.00
loop_
_atom_site_label
_atom_site_fract_x
_atom_site_fract_y
_atom_site_fract_z
K1 0.0000 0.0000 0.0000
Tl1 0.0000 0.0000 0.5000
Br1 0.3333 0.6667 0.2066
Br2 0.6667 0.3333 0.7934
F1 0.0471 0.7138 0.8022
F2 0.2862 0.3334 0.8022
F3 0.3334 0.0471 0.1978
F4 0.3333 0.6667 0.4717
F5 0.6667 0.3333 0.5283
F6 0.6666 0.9529 0.8022
F7 0.7138 0.6666 0.1978
F8 0.9529 0.2862 0.1978
```

Peak list (10 most intense, 5° ≤ 2θ ≤ 70°, in order of rising 2θ)
d [Å]  Position (°2θ)  I (rel.)
10.884  8.12  31
4.403  20.17  23
4.081  21.78  75
3.628  24.54  40
3.423  26.03  100
2.542  35.31  41
2.082  43.47  23
2.041  44.39  29
1.857  49.04  25
1.591  57.95  23

***

Entry 12:
Starting from a cell relaxed with PBE, the powder X-ray diffraction pattern of UAgPd14 was calculated for Cu Kα, 1.54184 Å.

Structure:
```
data_UAgPd14
_chemical_formula_sum 'U1 Ag1 Pd14'
_space_group_name_H-M_alt 'P 1'
_space_group_IT_number 1
_space_group_name_Hall 'P 1'
_cell_length_a 5.7724
_cell_length_b 5.7724
_cell_length_c 7.7002
_cell_angle_alpha 90.00
_cell_angle_beta 90.00
_cell_angle_gamma 90.00
loop_
_atom_site_label
_atom_site_fract_x
_atom_site_fract_y
_atom_site_fract_z
U1 0.0000 0.0000 0.0000
Ag1 0.5000 0.5000 0.0000
Pd1 0.0000 0.0000 0.5000
Pd2 0.0000 0.5000 0.0000
Pd3 0.0000 0.5000 0.5000
Pd4 0.2461 0.2461 0.2488
Pd5 0.2461 0.2461 0.7512
Pd6 0.2461 0.7539 0.2488
Pd7 0.2461 0.7539 0.7512
Pd8 0.5000 0.0000 0.0000
Pd9 0.5000 0.0000 0.5000
Pd10 0.5000 0.5000 0.5000
Pd11 0.7539 0.2461 0.2488
Pd12 0.7539 0.2461 0.7512
Pd13 0.7539 0.7539 0.2488
Pd14 0.7539 0.7539 0.7512
```

Peak list (10 most intense, 5° ≤ 2θ ≤ 70°, in order of rising 2θ)
d [Å]  Position (°2θ)  I (rel.)
7.700  11.49  2
5.772  15.35  2
4.619  19.22  2
4.082  21.77  1
3.606  24.69  1
2.309  39.00  100
2.041  44.39  34
1.925  47.21  14
1.443  64.58  11
1.400  66.80  20